Starting from DFT lattice parameters and positions (GGA-PBE), the powder diffraction line list of GdSeO3F was simulated for Cu Kα (weighted mean of Kα1 and Kα2).

Structural model:
```
12
Lattice="4.242 0.000 0.000 -0.761 6.371 0.000 -0.716 -0.588 6.762" Properties=species:S:1:pos:R:3 pbc="T T T"
Gd -0.105 0.726 1.791
Gd 2.870 5.056 4.971
Se -0.027 1.845 5.349
Se 2.792 3.938 1.413
O -0.586 5.135 0.490
O -0.152 3.027 2.004
O 0.294 0.715 4.044
O 2.471 5.067 2.718
O 2.917 2.756 4.758
O 3.351 0.648 6.272
F 0.751 4.658 5.293
F 2.014 1.124 1.469
```

Peak list (10 most intense, 2θ from 10° to 80°, low angle first)
2theta	Rel. int.	hkl
21.23	100	1 0 0
23.94	52	1 -1 0
26.36	90	0 0 2
30.05	51	0 2 -1
32.07	33	1 0 -2
32.18	53	0 2 1
35.82	27	-1 2 1
36.84	28	1 -1 2
43.79	36	2 -1 0
52.08	25	1 2 -3

***

Starting from DFT lattice parameters and positions (GGA-PBE), the powder diffraction line list of Gd3Se4O12F was simulated for Cu Kα (weighted mean of Kα1 and Kα2).

Structural model:
```
40
Lattice="10.333 0.000 0.000 -5.167 8.949 0.000 0.000 0.000 6.839" Properties=species:S:1:pos:R:3 pbc="T T T"
Gd -2.000 4.812 0.000
Gd 2.000 4.812 0.000
Gd 0.000 8.275 0.000
Gd 5.167 0.674 3.420
Gd 3.167 4.137 3.420
Gd 7.166 4.137 3.420
Se 0.000 2.714 1.583
Se -2.817 7.592 1.583
Se 2.350 1.357 5.003
Se 0.000 5.966 3.815
Se 5.167 2.983 0.395
Se 2.817 7.592 1.583
Se 7.983 1.357 5.003
Se 5.167 6.235 5.003
O -1.312 3.701 2.075
O -2.618 5.963 2.075
O -1.331 5.198 4.611
O 0.000 3.198 6.771
O -2.397 7.350 6.771
O 1.312 3.701 2.075
O -1.306 8.235 2.075
O 2.769 1.599 3.351
O 3.861 0.714 5.495
O 2.549 2.986 5.495
O 1.331 5.198 4.611
O 0.000 7.503 4.611
O 5.167 1.446 1.191
O 3.836 3.751 1.191
O 2.618 5.963 2.075
O 1.306 8.235 2.075
O 2.397 7.350 6.771
O 6.473 0.714 5.495
O 3.855 5.248 5.495
O 7.564 1.599 3.351
O 5.167 5.751 3.351
O 6.498 3.751 1.191
O 7.784 2.986 5.495
O 6.478 5.248 5.495
F 0.000 5.966 0.342
F 5.167 2.983 3.762
```

Peak list (10 most intense, 2θ from 10° to 80°, low angle first)
2theta	Rel. int.	hkl
19.84	40	2 0 0
23.76	100	2 0 1
27.93	49	1 0 2
29.46	95	2 1 1
32.75	65	3 0 1
32.97	90	2 0 2
34.73	64	2 2 0
46.16	47	3 2 1
48.13	45	2 1 3
51.95	43	3 2 2

***

Starting from DFT lattice parameters and positions (GGA-PBE), the powder diffraction line list of PrGdSbF2 was simulated for Cu Kα (weighted mean of Kα1 and Kα2).

Structural model:
```
5
Lattice="4.136 0.000 0.000 -2.068 3.582 0.000 0.000 0.000 7.194" Properties=species:S:1:pos:R:3 pbc="T T T"
Pr 0.000 0.000 0.000
Gd 2.068 1.194 3.368
Sb 0.000 2.388 5.218
F 0.000 0.000 2.481
F 2.068 1.194 1.065
```

Peak list (10 most intense, 2θ from 10° to 80°, low angle first)
2theta	Rel. int.	hkl
27.82	100	1 0 1
35.37	46	0 1 2
43.78	39	1 1 0
45.52	27	0 1 3
52.67	17	0 2 1
57.48	11	2 0 2
65.00	9	2 0 3
69.23	13	1 1 4
70.82	14	2 1 1
74.95	10	1 2 2

***

Starting from DFT lattice parameters and positions (GGA-PBE), the powder diffraction line list of GdPtF7 was simulated for Cu Kα (weighted mean of Kα1 and Kα2).

Structural model:
```
36
Lattice="8.579 0.000 0.000 0.000 5.234 0.000 -5.464 0.000 10.424" Properties=species:S:1:pos:R:3 pbc="T T T"
Gd 0.198 1.198 2.692
Gd -2.534 1.419 7.905
Gd 5.649 3.815 2.520
Gd 2.917 4.036 7.732
Pt 2.127 3.870 0.413
Pt -0.605 3.982 5.625
Pt 3.719 1.253 4.799
Pt 0.987 1.365 10.012
F -2.365 3.812 4.786
F -5.097 4.039 9.998
F -3.625 3.277 7.570
F -0.893 4.574 2.357
F -0.482 0.479 4.738
F -3.214 2.139 9.950
F 1.295 2.985 1.926
F -1.437 4.866 7.138
F 0.350 3.044 4.204
F -2.382 4.807 9.416
F 1.972 0.299 1.435
F -0.760 2.318 6.647
F 1.988 0.875 3.996
F -0.744 1.743 9.208
F 3.858 3.492 1.216
F 1.126 4.360 6.428
F 3.875 2.916 3.777
F 1.143 4.936 8.989
F 5.497 0.427 1.008
F 2.765 2.190 6.221
F 4.552 0.368 3.286
F 1.820 2.249 8.498
F 6.329 3.096 0.474
F 3.597 4.756 5.686
F 4.008 0.660 8.067
F 6.740 1.957 2.855
F 8.211 1.195 0.426
F 5.479 1.422 5.638
```

Peak list (10 most intense, 2θ from 10° to 80°, low angle first)
2theta	Rel. int.	hkl
23.05	100	1 1 -2
23.42	44	2 0 0
27.59	13	2 1 -2
29.04	13	2 1 0
30.18	36	1 1 2
30.67	13	1 0 -4
31.32	13	2 0 -4
34.26	19	0 2 0
46.62	17	3 0 2
49.63	16	2 1 -6

***

Please write out number 1 again, unchanged.
Starting from DFT lattice parameters and positions (GGA-PBE), the powder diffraction line list of GdSeO3F was simulated for Cu Kα (weighted mean of Kα1 and Kα2).

Structural model:
```
12
Lattice="4.242 0.000 0.000 -0.761 6.371 0.000 -0.716 -0.588 6.762" Properties=species:S:1:pos:R:3 pbc="T T T"
Gd -0.105 0.726 1.791
Gd 2.870 5.056 4.971
Se -0.027 1.845 5.349
Se 2.792 3.938 1.413
O -0.586 5.135 0.490
O -0.152 3.027 2.004
O 0.294 0.715 4.044
O 2.471 5.067 2.718
O 2.917 2.756 4.758
O 3.351 0.648 6.272
F 0.751 4.658 5.293
F 2.014 1.124 1.469
```

Peak list (10 most intense, 2θ from 10° to 80°, low angle first)
2theta	Rel. int.	hkl
21.23	100	1 0 0
23.94	52	1 -1 0
26.36	90	0 0 2
30.05	51	0 2 -1
32.07	33	1 0 -2
32.18	53	0 2 1
35.82	27	-1 2 1
36.84	28	1 -1 2
43.79	36	2 -1 0
52.08	25	1 2 -3